Entry 1:
Computed powder X-ray diffraction pattern of ZrBeRu for Cu Kα, 1.54184 Å, from the PBE geometry in Alexandria.
No peak broadening, texture or thermal motion is included.

Crystal structure
a b c (Å): 3.357 8.194 8.194
angles (deg): 22.69 90.00 90.00
Atoms (fractional coordinates):
Zr 0.000 0.000 0.000
Zr 0.000 0.202 0.202
Be 0.000 0.840 0.840
Be 0.500 0.771 0.771
Ru 0.500 0.385 0.385
Ru 0.500 0.598 0.598

Peak list (10 most intense, 2θ from 10° to 80°, in order of rising 2θ)
2θ/deg, I/Imax
11.0, 26.1
34.8, 82.4
39.1, 100.0
39.6, 83.6
43.2, 28.2
54.7, 17.2
57.1, 15.0
66.0, 28.3
68.7, 21.6
69.6, 30.3

Entry 2:
Computed powder X-ray diffraction pattern of Ce2FeGe6 for Cu Kα, 1.54184 Å, from the PBE geometry in Alexandria.
No peak broadening, texture or thermal motion is included.

Crystal structure
a b c (Å): 4.084 11.106 11.106
angles (deg): 21.13 90.00 90.00
Atoms (fractional coordinates):
Ce 0.000 0.000 0.000
Ce 0.000 0.331 0.331
Fe 0.500 0.778 0.778
Ge 0.000 0.604 0.604
Ge 0.000 0.719 0.719
Ge 0.500 0.104 0.104
Ge 0.500 0.219 0.219
Ge 0.500 0.456 0.456
Ge 0.500 0.884 0.884

Peak list (10 most intense, 2θ from 10° to 80°, in order of rising 2θ)
2θ/deg, I/Imax
32.8, 13.9
33.0, 20.4
33.4, 100.0
37.4, 19.4
42.7, 14.5
43.4, 17.6
44.4, 23.6
44.5, 23.4
56.4, 14.5
64.6, 15.0

Entry 3:
Computed powder X-ray diffraction pattern of Nd3Dy4Sc2 for Cu Kα, 1.54184 Å, from the PBE geometry in Alexandria.
No peak broadening, texture or thermal motion is included.

Crystal structure
a b c (Å): 10.024 10.024 5.963
angles (deg): 96.28 96.28 70.11
Atoms (fractional coordinates):
Nd 0.100 0.900 0.750
Nd 0.213 0.448 0.925
Nd 0.448 0.213 0.425
Nd 0.552 0.787 0.575
Nd 0.787 0.552 0.075
Nd 0.900 0.100 0.250
Dy 0.091 0.331 0.371
Dy 0.313 0.582 0.479
Dy 0.331 0.091 0.871
Dy 0.418 0.687 0.021
Dy 0.582 0.313 0.979
Dy 0.669 0.909 0.129
Dy 0.687 0.418 0.521
Dy 0.909 0.669 0.629
Sc 0.027 0.755 0.182
Sc 0.245 0.973 0.318
Sc 0.755 0.027 0.682
Sc 0.973 0.245 0.818

Peak list (10 most intense, 2θ from 10° to 80°, in order of rising 2θ)
2θ/deg, I/Imax
30.6, 49.1
31.0, 100.0
32.3, 89.5
37.9, 30.1
38.3, 26.1
50.1, 13.8
51.2, 11.5
52.1, 11.4
56.1, 15.7
56.3, 24.9

Entry 4:
Computed powder X-ray diffraction pattern of Pm8NdEr3 for Cu Kα, 1.54184 Å, from the PBE geometry in Alexandria.
No peak broadening, texture or thermal motion is included.

Crystal structure
a b c (Å): 8.744 8.744 8.744
angles (deg): 135.50 99.35 97.14
Atoms (fractional coordinates):
Pm 0.083 0.249 0.835
Pm 0.236 0.738 0.976
Pm 0.238 0.262 0.497
Pm 0.414 0.249 0.165
Pm 0.586 0.751 0.835
Pm 0.762 0.260 0.024
Pm 0.764 0.740 0.503
Pm 0.917 0.751 0.165
Nd 0.500 0.500 0.000
Er 0.000 0.000 0.000
Er 0.235 0.735 0.500
Er 0.765 0.265 0.500

Peak list (10 most intense, 2θ from 10° to 80°, in order of rising 2θ)
2θ/deg, I/Imax
21.9, 13.9
30.9, 42.8
31.1, 38.0
31.3, 100.0
35.0, 27.2
44.6, 18.5
50.4, 19.4
55.3, 14.6
56.1, 15.1
65.4, 18.3

Entry 5:
Computed powder X-ray diffraction pattern of GaBRu3 for Cu Kα, 1.54184 Å, from the PBE geometry in Alexandria.
No peak broadening, texture or thermal motion is included.

Crystal structure
a b c (Å): 5.689 5.689 4.659
angles (deg): 90.00 90.00 120.00
Atoms (fractional coordinates):
Ga 0.333 0.667 0.250
Ga 0.667 0.333 0.750
B 0.000 0.000 0.000
B 0.000 0.000 0.500
Ru 0.176 0.351 0.750
Ru 0.176 0.824 0.750
Ru 0.351 0.176 0.250
Ru 0.649 0.824 0.750
Ru 0.824 0.176 0.250
Ru 0.824 0.649 0.250

Peak list (10 most intense, 2θ from 10° to 80°, in order of rising 2θ)
2θ/deg, I/Imax
26.3, 4.6
36.5, 22.1
38.7, 26.7
41.5, 100.0
48.9, 2.1
54.2, 16.1
65.6, 16.4
71.9, 18.8
77.5, 2.2
78.9, 17.9

Entry 6:
Computed powder X-ray diffraction pattern of SrCoAs2Pd for Cu Kα, 1.54184 Å, from the PBE geometry in Alexandria.
No peak broadening, texture or thermal motion is included.

Crystal structure
a b c (Å): 6.333 6.333 6.333
angles (deg): 141.41 141.41 55.72
Atoms (fractional coordinates):
Sr 0.000 0.000 0.000
Co 0.250 0.750 0.500
As 0.368 0.368 0.000
As 0.632 0.632 0.000
Pd 0.750 0.250 0.500

Peak list (10 most intense, 2θ from 10° to 80°, in order of rising 2θ)
2θ/deg, I/Imax
15.8, 26.8
32.1, 92.4
34.3, 100.0
43.2, 73.5
44.5, 43.2
46.0, 22.7
54.9, 39.6
58.5, 30.6
62.8, 23.6
73.5, 20.3

Entry 7:
Computed powder X-ray diffraction pattern of AcNd2Tl4 for Cu Kα, 1.54184 Å, from the PBE geometry in Alexandria.
No peak broadening, texture or thermal motion is included.

Crystal structure
a b c (Å): 5.456 5.456 7.978
angles (deg): 90.00 90.00 90.00
Atoms (fractional coordinates):
Ac 0.000 0.000 0.000
Nd 0.000 0.000 0.500
Nd 0.500 0.500 0.000
Tl 0.000 0.500 0.278
Tl 0.000 0.500 0.722
Tl 0.500 0.000 0.278
Tl 0.500 0.000 0.722

Peak list (10 most intense, 2θ from 10° to 80°, in order of rising 2θ)
2θ/deg, I/Imax
25.6, 14.5
32.3, 100.0
32.8, 51.6
47.1, 19.1
47.8, 8.3
57.2, 15.9
58.3, 38.0
67.6, 9.7
78.1, 8.2
78.4, 8.8

Entry 8:
Computed powder X-ray diffraction pattern of SmTm12Sc7 for Cu Kα, 1.54184 Å, from the PBE geometry in Alexandria.
No peak broadening, texture or thermal motion is included.

Crystal structure
a b c (Å): 9.591 9.591 9.591
angles (deg): 112.71 112.71 112.71
Atoms (fractional coordinates):
Sm 0.000 0.000 0.000
Tm 0.000 0.282 0.718
Tm 0.000 0.718 0.282
Tm 0.096 0.429 0.429
Tm 0.282 0.000 0.718
Tm 0.282 0.718 0.000
Tm 0.429 0.096 0.429
Tm 0.429 0.429 0.096
Tm 0.571 0.571 0.904
Tm 0.571 0.904 0.571
Tm 0.718 0.000 0.282
Tm 0.718 0.282 0.000
Tm 0.904 0.571 0.571
Sc 0.156 0.156 0.487
Sc 0.156 0.487 0.156
Sc 0.487 0.156 0.156
Sc 0.500 0.500 0.500
Sc 0.513 0.844 0.844
Sc 0.844 0.513 0.844
Sc 0.844 0.844 0.513

Peak list (10 most intense, 2θ from 10° to 80°, in order of rising 2θ)
2θ/deg, I/Imax
25.8, 100.0
28.2, 31.0
32.5, 86.7
33.7, 94.5
33.9, 47.8
34.4, 33.0
36.2, 41.4
47.4, 34.1
48.5, 45.2
51.7, 37.0

Entry 9:
Computed powder X-ray diffraction pattern of Zn5Ag2Au for Cu Kα, 1.54184 Å, from the PBE geometry in Alexandria.
No peak broadening, texture or thermal motion is included.

Crystal structure
a b c (Å): 8.195 8.195 8.195
angles (deg): 151.26 151.26 41.09
Atoms (fractional coordinates):
Zn 0.000 0.000 0.000
Zn 0.123 0.623 0.500
Zn 0.377 0.877 0.500
Zn 0.623 0.123 0.500
Zn 0.877 0.377 0.500
Ag 0.248 0.248 0.000
Ag 0.752 0.752 0.000
Au 0.500 0.500 0.000

Peak list (10 most intense, 2θ from 10° to 80°, in order of rising 2θ)
2θ/deg, I/Imax
22.6, 9.9
23.2, 6.9
28.0, 7.1
31.1, 6.6
39.1, 100.0
44.6, 34.4
47.4, 14.2
64.8, 10.7
67.1, 19.2
78.4, 24.6

Entry 10:
Computed powder X-ray diffraction pattern of Al2Te3 for Cu Kα, 1.54184 Å, from the PBE geometry in Alexandria.
No peak broadening, texture or thermal motion is included.

Crystal structure
a b c (Å): 8.238 8.238 8.238
angles (deg): 52.79 52.79 52.79
Atoms (fractional coordinates):
Al 0.000 0.000 0.000
Al 0.142 0.798 0.458
Al 0.458 0.142 0.798
Al 0.798 0.458 0.142
Te 0.008 0.664 0.369
Te 0.191 0.191 0.191
Te 0.369 0.008 0.664
Te 0.526 0.526 0.526
Te 0.664 0.369 0.008
Te 0.857 0.857 0.857

Peak list (10 most intense, 2θ from 10° to 80°, in order of rising 2θ)
2θ/deg, I/Imax
24.3, 36.9
25.2, 32.1
27.4, 100.0
35.3, 25.6
42.8, 31.0
45.8, 33.6
50.3, 27.5
51.6, 16.5
64.4, 11.4
69.2, 12.9

Entry 11:
Computed powder X-ray diffraction pattern of HgAs for Cu Kα, 1.54184 Å, from the PBE geometry in Alexandria.
No peak broadening, texture or thermal motion is included.

Crystal structure
a b c (Å): 10.697 10.697 3.517
angles (deg): 90.00 90.00 120.00
Atoms (fractional coordinates):
Hg 0.147 0.295 0.250
Hg 0.147 0.853 0.250
Hg 0.295 0.147 0.750
Hg 0.705 0.853 0.250
Hg 0.853 0.147 0.750
Hg 0.853 0.705 0.750
As 0.089 0.545 0.250
As 0.455 0.545 0.250
As 0.455 0.911 0.250
As 0.545 0.089 0.750
As 0.545 0.455 0.750
As 0.911 0.455 0.750

Peak list (10 most intense, 2θ from 10° to 80°, in order of rising 2θ)
2θ/deg, I/Imax
16.6, 41.6
27.1, 29.9
28.9, 31.9
32.0, 100.0
33.5, 60.4
38.8, 63.5
47.0, 34.2
52.2, 25.9
63.3, 19.8
68.7, 27.9

Entry 12:
Computed powder X-ray diffraction pattern of Hf15In2Pb2 for Cu Kα, 1.54184 Å, from the PBE geometry in Alexandria.
No peak broadening, texture or thermal motion is included.

Crystal structure
a b c (Å): 7.810 7.810 7.810
angles (deg): 80.27 80.27 80.27
Atoms (fractional coordinates):
Hf 0.000 0.000 0.500
Hf 0.000 0.301 0.699
Hf 0.000 0.500 0.000
Hf 0.000 0.699 0.301
Hf 0.159 0.634 0.634
Hf 0.301 0.000 0.699
Hf 0.301 0.699 0.000
Hf 0.366 0.366 0.841
Hf 0.366 0.841 0.366
Hf 0.500 0.000 0.000
Hf 0.634 0.159 0.634
Hf 0.634 0.634 0.159
Hf 0.699 0.000 0.301
Hf 0.699 0.301 0.000
Hf 0.841 0.366 0.366
In 0.096 0.096 0.096
In 0.904 0.904 0.904
Pb 0.320 0.320 0.320
Pb 0.680 0.680 0.680

Peak list (10 most intense, 2θ from 10° to 80°, in order of rising 2θ)
2θ/deg, I/Imax
29.4, 10.2
30.7, 30.7
34.4, 23.5
35.3, 100.0
35.7, 35.3
38.9, 9.8
39.8, 42.4
57.7, 12.4
62.2, 13.9
64.1, 15.5